No. 1
For LiAl2Pb2, a structure optimized by DFT (PBE) gives the computed X-ray diffraction stick pattern in this record (Cu Kα).
Peak positions follow from Bragg's law for the DFT cell and can differ from measured ones.

Most intense lines, 2θ from 5° to 70°, low angle first:
- d 4.063, I = 29
- d 3.819, I = 100
- d 3.180, I = 25
- d 2.778, I = 30
- d 2.504, I = 56
- d 2.293, I = 50
- d 1.964, I = 19
- d 1.747, I = 24
- d 1.640, I = 22
- d 1.546, I = 26

a = 3.929 Å, b = 3.929 Å, c = 16.252 Å
α = 90.00°, β = 90.00°, γ = 90.00°
Space group I4/mmm (No. 139)
Symmetry-distinct sites (fractional):
Li 0.000 0.000 0.000 x2
Al 0.000 0.500 0.250 x4
Pb 0.000 0.000 0.391 x4


No. 2
For PuMg2InO6, a structure optimized by DFT (PBE) gives the computed X-ray diffraction stick pattern in this record (Cu Kα).
Peak positions follow from Bragg's law for the DFT cell and can differ from measured ones.

Most intense lines, 2θ from 5° to 70°, low angle first:
- d 4.472, I = 18
- d 3.952, I = 100
- d 2.885, I = 64
- d 2.712, I = 50
- d 2.236, I = 22
- d 1.976, I = 25
- d 1.813, I = 38
- d 1.725, I = 20
- d 1.597, I = 24
- d 1.566, I = 17

a = 5.4238 Å, b = 5.4238 Å, c = 14.6205 Å
α = 90.00°, β = 90.00°, γ = 120.00°
Space group R3 (No. 146, hexagonal axes)
Symmetry-distinct sites (fractional):
Pu 0.0000 0.0000 0.0000 x3
Mg 0.0000 0.0000 0.2975 x3
Mg 0.0000 0.0000 0.7921 x3
In 0.0000 0.0000 0.5050 x3
O 0.0058 0.3073 0.3997 x9
O 0.0116 0.7074 0.9019 x9